# 1
Structure and theoretical powder XRD pattern of Tb4TmAg5 (a structure optimized by DFT (PBE); Cu Ka).
No peak broadening, texture or thermal motion is included.

Atomic structure:
```
Tb4TmAg5
1.0
3.617 0.000 0.000
0.000 3.617 0.000
0.000 0.000 18.214
Tb Tm Ag
4 1 5
direct
0.000 0.000 0.101
0.000 0.000 0.302
0.000 0.000 0.698
0.000 0.000 0.899
0.000 0.000 0.500
0.500 0.500 0.000
0.500 0.500 0.201
0.500 0.500 0.404
0.500 0.500 0.596
0.500 0.500 0.799
```

Most intense lines, 10 to 80 degrees two-theta, low angle first:
two_theta, d (Å), intensity
24.44, 3.643, 2
24.61, 3.617, 4
34.96, 2.567, 100
35.08, 2.558, 50
50.08, 1.821, 9
50.46, 1.809, 17
62.61, 1.484, 18
62.85, 1.479, 35
73.84, 1.283, 11
74.14, 1.279, 5

---

# 2
Structure and theoretical powder XRD pattern of Tb5ZnAg4 (a structure optimized by DFT (PBE); Cu Ka).
No peak broadening, texture or thermal motion is included.

Atomic structure:
```
Tb5ZnAg4
1.0
3.638 0.000 0.000
0.000 3.638 0.000
0.000 0.000 18.191
Tb Zn Ag
5 1 4
direct
0.000 0.000 0.000
0.000 0.000 0.202
0.000 0.000 0.404
0.000 0.000 0.596
0.000 0.000 0.798
0.500 0.500 0.500
0.500 0.500 0.101
0.500 0.500 0.304
0.500 0.500 0.696
0.500 0.500 0.899
```

Most intense lines, 10 to 80 degrees two-theta, low angle first:
two_theta, d (Å), intensity
24.47, 3.638, 5
31.49, 2.841, 1
34.88, 2.572, 100
43.07, 2.100, 2
50.15, 1.819, 18
56.57, 1.627, 2
62.54, 1.485, 35
73.65, 1.286, 11
78.95, 1.213, 1

---

# 3
Structure and theoretical powder XRD pattern of Tb2Zn15Ag2 (a structure optimized by DFT (PBE); Cu Ka).
No peak broadening, texture or thermal motion is included.

Atomic structure:
```
Tb2Zn15Ag2
1.0
4.512 2.605 4.395
-4.512 2.605 4.395
0.000 -5.210 4.395
Tb Zn Ag
2 15 2
direct
0.159 0.159 0.159
0.841 0.841 0.841
0.000 0.500 0.500
0.147 0.147 0.663
0.147 0.663 0.147
0.203 0.500 0.797
0.203 0.797 0.500
0.337 0.853 0.853
0.500 0.000 0.500
0.500 0.203 0.797
0.500 0.500 0.000
0.500 0.797 0.203
0.663 0.147 0.147
0.797 0.203 0.500
0.797 0.500 0.203
0.853 0.337 0.853
0.853 0.853 0.337
0.393 0.393 0.393
0.607 0.607 0.607
```

Most intense lines, 10 to 80 degrees two-theta, low angle first:
two_theta, d (Å), intensity
34.43, 2.605, 59
35.63, 2.520, 43
39.96, 2.256, 80
40.24, 2.241, 100
41.05, 2.199, 64
41.30, 2.186, 25
45.17, 2.007, 39
58.63, 1.575, 27
72.57, 1.303, 24
74.27, 1.277, 26

---

# 4
Structure and theoretical powder XRD pattern of TbZrAg4 (a structure optimized by DFT (PBE); Cu Ka).
No peak broadening, texture or thermal motion is included.

Atomic structure:
```
TbZrAg4
1.0
3.651 0.000 0.000
0.000 3.651 0.000
0.000 0.000 9.184
Tb Zr Ag
1 1 4
direct
0.000 0.000 0.000
0.500 0.500 0.500
0.000 0.000 0.336
0.000 0.000 0.664
0.500 0.500 0.178
0.500 0.500 0.822
```

Most intense lines, 10 to 80 degrees two-theta, low angle first:
two_theta, d (Å), intensity
24.38, 3.651, 1
31.30, 2.858, 3
34.74, 2.582, 67
38.37, 2.346, 100
49.95, 1.826, 23
60.14, 1.539, 1
60.48, 1.531, 6
64.70, 1.441, 41
71.67, 1.317, 14
73.33, 1.291, 7

---

# 5
Structure and theoretical powder XRD pattern of ThTcAg (a structure optimized by DFT (PBE); Cu Ka).
No peak broadening, texture or thermal motion is included.

Atomic structure:
```
ThTcAg
1.0
6.619 0.000 0.000
0.000 6.619 0.000
0.000 0.000 6.619
Th Tc Ag
4 4 4
direct
0.000 0.000 0.000
0.000 0.500 0.500
0.500 0.000 0.500
0.500 0.500 0.000
0.000 0.000 0.500
0.000 0.500 0.000
0.500 0.000 0.000
0.500 0.500 0.500
0.250 0.250 0.750
0.250 0.750 0.250
0.750 0.250 0.250
0.750 0.750 0.750
```

Most intense lines, 10 to 80 degrees two-theta, low angle first:
two_theta, d (Å), intensity
23.28, 3.822, 35
26.94, 3.310, 30
38.47, 2.340, 100
45.45, 1.996, 18
47.59, 1.911, 9
55.53, 1.655, 17
61.02, 1.519, 8
62.78, 1.480, 12
69.58, 1.351, 35
74.48, 1.274, 6

---

# 6
Structure and theoretical powder XRD pattern of Ag2Te (a structure optimized by DFT (PBE); Cu Ka).
No peak broadening, texture or thermal motion is included.

Atomic structure:
```
Ag2Te
1.0
6.010 0.000 0.000
0.000 6.010 0.000
0.000 0.000 6.010
Ag Te
4 2
direct
0.000 0.000 0.000
0.000 0.500 0.500
0.500 0.000 0.500
0.500 0.500 0.000
0.250 0.250 0.250
0.750 0.750 0.750
```

Most intense lines, 10 to 80 degrees two-theta, low angle first:
two_theta, d (Å), intensity
20.90, 4.249, 75
25.68, 3.470, 100
36.63, 2.453, 35
42.55, 2.125, 91
47.87, 1.900, 16
50.36, 1.812, 45
57.37, 1.606, 19
61.74, 1.502, 14
68.00, 1.379, 17
77.87, 1.227, 29

---

# 7
Structure and theoretical powder XRD pattern of Ag10Te (a structure optimized by DFT (PBE); Cu Ka).
No peak broadening, texture or thermal motion is included.

Atomic structure:
```
Ag10Te
1.0
4.511 -2.078 0.000
4.511 2.078 0.000
-0.448 0.000 30.382
Ag Te
20 2
direct
0.048 0.048 0.200
0.049 0.049 0.893
0.139 0.139 0.297
0.150 0.150 0.985
0.252 0.252 0.077
0.256 0.256 0.770
0.349 0.349 0.861
0.351 0.351 0.169
0.443 0.443 0.262
0.449 0.449 0.954
0.551 0.551 0.046
0.557 0.557 0.738
0.649 0.649 0.831
0.651 0.651 0.139
0.744 0.744 0.230
0.748 0.748 0.923
0.850 0.850 0.015
0.861 0.861 0.703
0.951 0.951 0.107
0.952 0.952 0.800
0.161 0.161 0.676
0.839 0.839 0.324
```

Most intense lines, 10 to 80 degrees two-theta, low angle first:
two_theta, d (Å), intensity
35.79, 2.509, 47
37.88, 2.375, 100
38.14, 2.360, 89
38.68, 2.328, 29
43.34, 2.088, 33
43.55, 2.078, 34
44.20, 2.049, 19
45.60, 1.989, 22
63.12, 1.473, 21
76.19, 1.250, 21

---

# 8
Structure and theoretical powder XRD pattern of Ag7Te4 (a structure optimized by DFT (PBE); Cu Ka).
No peak broadening, texture or thermal motion is included.

Atomic structure:
```
Ag7Te4
1.0
13.467 0.000 0.000
-6.733 11.663 0.000
0.000 0.000 8.764
Ag Te
35 20
direct
0.000 0.000 0.153
0.000 0.000 0.847
0.000 0.500 0.000
0.122 0.243 0.000
0.122 0.878 0.000
0.124 0.461 0.500
0.124 0.663 0.500
0.243 0.122 0.000
0.252 0.503 0.230
0.252 0.503 0.770
0.252 0.748 0.230
0.252 0.748 0.770
0.337 0.461 0.500
0.337 0.876 0.500
0.461 0.124 0.500
0.461 0.337 0.500
0.497 0.748 0.230
0.497 0.748 0.770
0.500 0.000 0.000
0.500 0.500 0.000
0.503 0.252 0.230
0.503 0.252 0.770
0.539 0.663 0.500
0.539 0.876 0.500
0.663 0.124 0.500
0.663 0.539 0.500
0.748 0.252 0.230
0.748 0.252 0.770
0.748 0.497 0.230
0.748 0.497 0.770
0.757 0.878 0.000
0.876 0.337 0.500
0.876 0.539 0.500
0.878 0.122 0.000
0.878 0.757 0.000
0.000 0.207 0.500
0.000 0.341 0.195
0.000 0.341 0.805
0.000 0.659 0.195
0.000 0.659 0.805
0.000 0.793 0.500
0.207 0.000 0.500
0.207 0.207 0.500
0.333 0.667 0.000
0.341 0.000 0.195
0.341 0.000 0.805
0.341 0.341 0.195
0.341 0.341 0.805
0.659 0.000 0.195
0.659 0.000 0.805
0.659 0.659 0.195
0.659 0.659 0.805
0.667 0.333 0.000
0.793 0.000 0.500
0.793 0.793 0.500
```

Most intense lines, 10 to 80 degrees two-theta, low angle first:
two_theta, d (Å), intensity
28.40, 3.143, 54
28.73, 3.108, 53
30.63, 2.919, 50
30.75, 2.908, 36
33.48, 2.676, 27
36.77, 2.444, 39
40.90, 2.206, 47
41.01, 2.201, 100
41.20, 2.191, 34
41.53, 2.174, 52

---

Copy entry 4 word for word.
Structure and theoretical powder XRD pattern of TbZrAg4 (a structure optimized by DFT (PBE); Cu Ka).
No peak broadening, texture or thermal motion is included.

Atomic structure:
```
TbZrAg4
1.0
3.651 0.000 0.000
0.000 3.651 0.000
0.000 0.000 9.184
Tb Zr Ag
1 1 4
direct
0.000 0.000 0.000
0.500 0.500 0.500
0.000 0.000 0.336
0.000 0.000 0.664
0.500 0.500 0.178
0.500 0.500 0.822
```

Most intense lines, 10 to 80 degrees two-theta, low angle first:
two_theta, d (Å), intensity
24.38, 3.651, 1
31.30, 2.858, 3
34.74, 2.582, 67
38.37, 2.346, 100
49.95, 1.826, 23
60.14, 1.539, 1
60.48, 1.531, 6
64.70, 1.441, 41
71.67, 1.317, 14
73.33, 1.291, 7